Na4CO4: calculated powder XRD pattern (Cu Ka), based on a PBE-relaxed structure.

Main lines, most intense first (2θ = 10–90°):
d [Å]  2θ (°)  I_rel
5.470  16.20  100
2.427  37.04  30
5.269  16.83  28
3.283  27.16  22
2.127  42.50  19
1.814  50.31  12
2.634  34.03  11
3.605  24.69  10
1.737  52.69  10
2.099  43.10  9

Atomic structure:
Unit cell a=5.5331 b=5.5331 c=5.2687 alpha=90.14 beta=90.14 gamma=81.33
Sites, in units of the cell vectors:
Na1 0.0004 0.5004 0.4689
Na2 0.1911 0.8089 0.0000
Na3 0.5004 0.0004 0.4689
Na4 0.8089 0.1911 0.0000
C1 0.0003 0.0003 0.4318
O1 0.1399 0.1399 0.2692
O2 0.1630 0.8381 0.5832
O3 0.8381 0.1630 0.5832
O4 0.8603 0.8603 0.2687

=====

Na3CO3: calculated powder XRD pattern (Cu Ka), based on a PBE-relaxed structure.

Main lines, most intense first (2θ = 10–90°):
d [Å]  2θ (°)  I_rel
2.390  37.63  100
3.433  25.96  56
2.732  32.78  52
4.780  18.56  37
2.848  31.41  32
1.942  46.79  21
1.665  55.17  21
2.003  45.27  18
1.437  64.87  17
1.922  47.28  16

Atomic structure:
Unit cell a=4.7848 b=4.7848 c=4.7848 alpha=88.20 beta=88.20 gamma=88.20
Sites, in units of the cell vectors:
Na1 0.1678 0.1678 0.6644
Na2 0.1678 0.6644 0.1678
Na3 0.6644 0.1678 0.1678
C1 0.7662 0.7662 0.7662
O1 0.6576 0.6576 0.9980
O2 0.6576 0.9980 0.6576
O3 0.9980 0.6576 0.6576

=====

Na4C2O5: calculated powder XRD pattern (Cu Ka), based on a PBE-relaxed structure.

Main lines, most intense first (2θ = 10–90°):
d [Å]  2θ (°)  I_rel
2.498  35.95  100
2.430  36.99  91
1.906  47.71  72
3.060  29.18  60
2.653  33.79  51
2.188  41.25  40
2.672  33.54  28
2.058  44.00  28
2.296  39.24  27
1.742  52.54  23

Atomic structure:
Unit cell a=5.0676 b=5.0676 c=6.2187 alpha=98.64 beta=98.64 gamma=63.64
Sites, in units of the cell vectors:
Na1 0.0000 0.0000 0.0000
Na2 0.0009 0.0009 0.4925
Na3 0.3336 0.3336 0.2537
Na4 0.6693 0.6693 0.7265
C1 0.3431 0.3431 0.7543
C2 0.6873 0.6873 0.2439
O1 0.1966 0.6181 0.7122
O2 0.2154 0.2154 0.8370
O3 0.4046 0.8193 0.2733
O4 0.6181 0.1966 0.7122
O5 0.8193 0.4046 0.2733

=====

NaC2O2: calculated powder XRD pattern (Cu Ka), based on a PBE-relaxed structure.

Main lines, most intense first (2θ = 10–90°):
d [Å]  2θ (°)  I_rel
2.999  29.80  100
2.887  30.98  74
3.456  25.78  51
2.666  33.62  39
2.751  32.55  39
3.057  29.22  30
2.217  40.70  30
4.179  21.26  29
1.777  51.41  27
1.709  53.64  26

Atomic structure:
Unit cell a=3.5568 b=6.9118 c=10.5032 alpha=90.00 beta=92.30 gamma=90.00
Sites, in units of the cell vectors:
Na1 0.2008 0.0562 0.3501
Na2 0.2008 0.4438 0.8501
Na3 0.7992 0.5562 0.1499
Na4 0.7992 0.9438 0.6499
C1 0.3926 0.6405 0.5010
C2 0.3926 0.8595 0.0010
C3 0.4075 0.0147 0.9049
C4 0.4075 0.4853 0.4049
C5 0.5925 0.5147 0.5951
C6 0.5925 0.9853 0.0951
C7 0.6074 0.1405 0.9990
C8 0.6074 0.3595 0.4990
O1 0.2689 0.6883 0.0066
O2 0.2689 0.8117 0.5066
O3 0.2987 0.0398 0.7899
O4 0.2987 0.4602 0.2899
O5 0.7013 0.5398 0.7101
O6 0.7013 0.9602 0.2101
O7 0.7311 0.1883 0.4934
O8 0.7311 0.3117 0.9934

=====

Na3C2O6: calculated powder XRD pattern (Cu Ka), based on a PBE-relaxed structure.

Main lines, most intense first (2θ = 10–90°):
d [Å]  2θ (°)  I_rel
2.557  35.10  100
2.962  30.17  62
4.585  19.36  41
2.401  37.45  37
1.941  46.81  26
1.832  49.76  26
2.606  34.41  22
1.738  52.68  21
2.753  32.53  20
3.881  22.91  13

Atomic structure:
Unit cell a=4.9108 b=6.3361 c=9.1692 alpha=90.00 beta=90.00 gamma=90.00
Sites, in units of the cell vectors:
Na1 0.0000 0.0000 0.0000
Na2 0.0000 0.5000 0.1852
Na3 0.0000 0.5000 0.8148
Na4 0.5000 0.0000 0.3148
Na5 0.5000 0.0000 0.6852
Na6 0.5000 0.5000 0.5000
C1 0.0290 0.2458 0.5000
C2 0.4710 0.7458 0.0000
C3 0.5290 0.2542 0.0000
C4 0.9710 0.7542 0.5000
O1 0.1585 0.2726 0.3785
O2 0.1585 0.2726 0.6215
O3 0.2265 0.8016 0.5000
O4 0.2735 0.3016 0.0000
O5 0.3415 0.7726 0.1215
O6 0.3415 0.7726 0.8785
O7 0.6585 0.2274 0.1215
O8 0.6585 0.2274 0.8785
O9 0.7265 0.6984 0.0000
O10 0.7735 0.1984 0.5000
O11 0.8415 0.7274 0.3785
O12 0.8415 0.7274 0.6215

=====

Na3C2O6: calculated powder XRD pattern (Cu Ka), based on a PBE-relaxed structure.

Main lines, most intense first (2θ = 10–90°):
d [Å]  2θ (°)  I_rel
2.894  30.90  100
2.915  30.67  29
1.861  48.95  27
2.040  44.40  26
3.207  27.82  22
2.437  36.88  17
2.953  30.27  16
2.393  37.59  16
2.241  40.25  14
1.700  53.93  12

Atomic structure:
Unit cell a=8.4531 b=8.4531 c=9.8612 alpha=98.73 beta=98.73 gamma=23.99
Sites, in units of the cell vectors:
Na1 0.1613 0.4591 0.1389
Na2 0.2285 0.7715 0.7500
Na3 0.4591 0.1613 0.6389
Na4 0.5409 0.8387 0.3611
Na5 0.7715 0.2285 0.2500
Na6 0.8387 0.5409 0.8611
C1 0.1480 0.5950 0.4244
C2 0.4050 0.8520 0.0756
C3 0.5950 0.1480 0.9244
C4 0.8520 0.4050 0.5756
O1 0.0623 0.7211 0.5500
O2 0.1798 0.6626 0.3366
O3 0.2017 0.3934 0.3842
O4 0.2789 0.9377 0.9500
O5 0.3374 0.8202 0.1634
O6 0.3934 0.2017 0.8842
O7 0.6066 0.7983 0.1158
O8 0.6626 0.1798 0.8366
O9 0.7211 0.0623 0.0500
O10 0.7983 0.6066 0.6158
O11 0.8202 0.3374 0.6634
O12 0.9377 0.2789 0.4500